(1)
The following is a simulated powder XRD pattern of Ac3MgTl4. It was derived from a DFT-relaxed cell (GGA-PBE, Alexandria), using Cu Kα, 1.54184 Å.
Neutral-atom scattering factors, no anomalous dispersion.

Atomic structure:
Cell lengths 3.871, 3.871, 17.167 Å; angles 90.00, 90.00, 90.00 degrees
Fractional coordinates of all 8 atoms:
Ac 0.000 0.000 0.000
Ac 0.000 0.000 0.269
Ac 0.000 0.000 0.731
Mg 0.000 0.000 0.500
Tl 0.500 0.500 0.136
Tl 0.500 0.500 0.403
Tl 0.500 0.500 0.597
Tl 0.500 0.500 0.864

Largest 10 diffraction maxima, low angle first, 2θ from 10° to 80°:
| d_spacing | 2θ (°) | intensity |
| --- | --- | --- |
| 3.206 | 27.82 | 26 |
| 2.875 | 31.11 | 100 |
| 2.737 | 32.71 | 55 |
| 2.452 | 36.64 | 11 |
| 1.936 | 46.94 | 21 |
| 1.827 | 49.93 | 18 |
| 1.689 | 54.32 | 10 |
| 1.606 | 57.39 | 37 |
| 1.519 | 60.98 | 10 |
| 1.447 | 64.36 | 14 |



(2)
The following is a simulated powder XRD pattern of Ac3MgTl2. It was derived from a DFT-relaxed cell (GGA-PBE, Alexandria), using Cu Kα, 1.54184 Å.
Neutral-atom scattering factors, no anomalous dispersion.

Atomic structure:
Cell lengths 4.089, 4.089, 12.602 Å; angles 90.00, 90.00, 90.00 degrees
Fractional coordinates of all 6 atoms:
Ac 0.000 0.000 0.000
Ac 0.000 0.000 0.338
Ac 0.000 0.000 0.662
Mg 0.500 0.500 0.500
Tl 0.500 0.500 0.174
Tl 0.500 0.500 0.826

Largest 10 diffraction maxima, low angle first, 2θ from 10° to 80°:
| d_spacing | 2θ (°) | intensity |
| --- | --- | --- |
| 2.930 | 30.51 | 100 |
| 2.892 | 30.93 | 49 |
| 2.100 | 43.07 | 10 |
| 2.045 | 44.30 | 19 |
| 1.699 | 53.96 | 20 |
| 1.677 | 54.74 | 40 |
| 1.465 | 63.50 | 12 |
| 1.325 | 71.17 | 8 |
| 1.297 | 72.97 | 9 |
| 1.293 | 73.19 | 9 |



(3)
The following is a simulated powder XRD pattern of Ac4MgTl. It was derived from a DFT-relaxed cell (GGA-PBE, Alexandria), using Cu Kα, 1.54184 Å.
Neutral-atom scattering factors, no anomalous dispersion.

Atomic structure:
Cell lengths 5.648, 5.648, 8.101 Å; angles 90.00, 90.00, 90.00 degrees
Fractional coordinates of all 6 atoms:
Ac 0.000 0.500 0.249
Ac 0.000 0.500 0.751
Ac 0.500 0.000 0.249
Ac 0.500 0.000 0.751
Mg 0.000 0.000 0.500
Tl 0.500 0.500 0.000

Largest 10 diffraction maxima, low angle first, 2θ from 10° to 80°:
| d_spacing | 2θ (°) | intensity |
| --- | --- | --- |
| 4.633 | 19.16 | 14 |
| 4.051 | 21.94 | 21 |
| 3.994 | 22.26 | 41 |
| 2.844 | 31.46 | 100 |
| 2.824 | 31.68 | 49 |
| 2.317 | 38.88 | 20 |
| 1.997 | 45.42 | 19 |
| 1.646 | 55.86 | 20 |
| 1.634 | 56.29 | 40 |
| 1.422 | 65.66 | 13 |



(4)
The following is a simulated powder XRD pattern of Ac2Mg12Tl5. It was derived from a DFT-relaxed cell (GGA-PBE, Alexandria), using Cu Kα, 1.54184 Å.
Neutral-atom scattering factors, no anomalous dispersion.

Atomic structure:
Cell lengths 7.975, 7.975, 7.975 Å; angles 84.67, 84.67, 84.67 degrees
Fractional coordinates of all 19 atoms:
Ac 0.167 0.167 0.167
Ac 0.833 0.833 0.833
Mg 0.150 0.150 0.666
Mg 0.150 0.666 0.150
Mg 0.195 0.500 0.805
Mg 0.195 0.805 0.500
Mg 0.334 0.850 0.850
Mg 0.500 0.195 0.805
Mg 0.500 0.805 0.195
Mg 0.666 0.150 0.150
Mg 0.805 0.195 0.500
Mg 0.805 0.500 0.195
Mg 0.850 0.334 0.850
Mg 0.850 0.850 0.334
Tl 0.000 0.500 0.500
Tl 0.399 0.399 0.399
Tl 0.500 0.000 0.500
Tl 0.500 0.500 0.000
Tl 0.601 0.601 0.601

Largest 10 diffraction maxima, low angle first, 2θ from 10° to 80°:
| d_spacing | 2θ (°) | intensity |
| --- | --- | --- |
| 7.912 | 11.18 | 44 |
| 5.371 | 16.51 | 60 |
| 4.444 | 19.98 | 29 |
| 3.665 | 24.29 | 45 |
| 3.486 | 25.55 | 40 |
| 3.101 | 28.79 | 34 |
| 2.685 | 33.37 | 100 |
| 2.637 | 33.99 | 41 |
| 2.568 | 34.94 | 41 |
| 2.526 | 35.54 | 55 |



(5)
The following is a simulated powder XRD pattern of Ac6MgTl. It was derived from a DFT-relaxed cell (GGA-PBE, Alexandria), using Cu Kα, 1.54184 Å.
Neutral-atom scattering factors, no anomalous dispersion.

Atomic structure:
Cell lengths 10.649, 10.649, 10.649 Å; angles 148.92, 148.92, 44.54 degrees
Fractional coordinates of all 8 atoms:
Ac 0.109 0.609 0.500
Ac 0.249 0.249 0.000
Ac 0.391 0.891 0.500
Ac 0.609 0.109 0.500
Ac 0.751 0.751 0.000
Ac 0.891 0.391 0.500
Mg 0.000 0.000 0.000
Tl 0.500 0.500 0.000

Largest 10 diffraction maxima, low angle first, 2θ from 10° to 80°:
| d_spacing | 2θ (°) | intensity |
| --- | --- | --- |
| 3.734 | 23.83 | 11 |
| 3.122 | 28.59 | 100 |
| 2.853 | 31.35 | 43 |
| 2.464 | 36.46 | 11 |
| 2.154 | 41.94 | 8 |
| 2.018 | 44.92 | 16 |
| 1.865 | 48.84 | 18 |
| 1.771 | 51.61 | 8 |
| 1.695 | 54.12 | 35 |
| 1.561 | 59.19 | 10 |



(6)
The following is a simulated powder XRD pattern of Ac8MgTl2. It was derived from a DFT-relaxed cell (GGA-PBE, Alexandria), using Cu Kα, 1.54184 Å.
Neutral-atom scattering factors, no anomalous dispersion.

Atomic structure:
Cell lengths 9.851, 9.851, 9.851 Å; angles 147.15, 120.96, 69.23 degrees
Fractional coordinates of all 11 atoms:
Ac 0.117 0.340 0.777
Ac 0.142 0.142 0.000
Ac 0.318 0.000 0.318
Ac 0.437 0.660 0.777
Ac 0.563 0.340 0.223
Ac 0.682 0.000 0.682
Ac 0.858 0.858 0.000
Ac 0.883 0.660 0.223
Mg 0.000 0.500 0.500
Tl 0.307 0.807 0.500
Tl 0.693 0.193 0.500

Largest 10 diffraction maxima, low angle first, 2θ from 10° to 80°:
| d_spacing | 2θ (°) | intensity |
| --- | --- | --- |
| 3.570 | 24.94 | 13 |
| 3.173 | 28.12 | 11 |
| 3.105 | 28.75 | 17 |
| 3.030 | 29.48 | 100 |
| 2.786 | 32.13 | 27 |
| 2.702 | 33.15 | 17 |
| 2.645 | 33.89 | 12 |
| 1.940 | 46.84 | 13 |
| 1.670 | 55.00 | 12 |
| 1.651 | 55.65 | 17 |